For Li3SnB2O6, a DFT-relaxed cell (GGA-PBE, the Materials Project) gives the theoretical powder diffractogram in this record (a wavelength of 1.5418 Å).

Structural model:
a = 5.0144 Å, b = 7.2544 Å, c = 8.0111 Å
α = 69.26°, β = 87.42°, γ = 89.62°
Atoms (fractional coordinates):
Li 0.1724 0.2398 0.3777
Li 0.1805 0.9430 0.7477
Li 0.3202 0.0891 0.0610
Li 0.6798 0.9109 0.9390
Li 0.8195 0.0570 0.2523
Li 0.8276 0.7602 0.6223
Sn 0.3674 0.4480 0.6731
Sn 0.6326 0.5520 0.3269
B 0.1571 0.6852 0.1031
B 0.3337 0.8669 0.4268
B 0.6663 0.1331 0.5732
B 0.8429 0.3148 0.8969
O 0.1264 0.3157 0.8912
O 0.1923 0.0089 0.3094
O 0.2162 0.7414 0.5936
O 0.2770 0.5176 0.2240
O 0.2960 0.8410 0.9898
O 0.3954 0.1682 0.6073
O 0.6046 0.8318 0.3927
O 0.7040 0.1590 0.0102
O 0.7230 0.4824 0.7760
O 0.7838 0.2586 0.4064
O 0.8077 0.9911 0.6906
O 0.8736 0.6843 0.1088

Top 10 peaks for 2θ = 10–90°, sorted by position:
| two_theta | intensity |
| --- | --- |
| 11.82 | 51 |
| 13.05 | 100 |
| 14.18 | 72 |
| 17.71 | 39 |
| 20.89 | 58 |
| 22.43 | 56 |
| 24.68 | 40 |
| 30.44 | 29 |
| 36.65 | 30 |
| 37.28 | 30 |

For Li3SnB2O6, a DFT-relaxed cell (GGA-PBE, the Materials Project) gives the theoretical powder diffractogram in this record (a wavelength of 1.5418 Å).

Structural model:
a = 8.8490 Å, b = 6.4553 Å, c = 10.1064 Å
α = 90.00°, β = 116.86°, γ = 90.00°
Atoms (fractional coordinates):
Li 0.1058 0.2441 0.4793
Li 0.1058 0.2559 0.9793
Li 0.2091 0.5622 0.1688
Li 0.2091 0.9378 0.6688
Li 0.3407 0.7216 0.5441
Li 0.3407 0.7784 0.0441
Li 0.6593 0.2216 0.9559
Li 0.6593 0.2784 0.4559
Li 0.7909 0.0622 0.3312
Li 0.7909 0.4378 0.8312
Li 0.8942 0.7441 0.0207
Li 0.8942 0.7559 0.5207
Sn 0.3090 0.0317 0.3001
Sn 0.3090 0.4683 0.8001
Sn 0.6910 0.5317 0.1999
Sn 0.6910 0.9683 0.6999
B 0.0397 0.6635 0.8224
B 0.0397 0.8365 0.3224
B 0.4479 0.1730 0.1118
B 0.4479 0.3270 0.6118
B 0.5521 0.6730 0.3882
B 0.5521 0.8270 0.8882
B 0.9603 0.1635 0.6776
B 0.9603 0.3365 0.1776
O 0.0870 0.7057 0.7113
O 0.0870 0.7943 0.2113
O 0.1176 0.2130 0.6858
O 0.1176 0.2870 0.1858
O 0.1582 0.5595 0.9474
O 0.1582 0.9405 0.4474
O 0.2955 0.0676 0.0609
O 0.2955 0.4324 0.5609
O 0.4414 0.6697 0.2394
O 0.4414 0.8303 0.7394
O 0.4904 0.2084 0.5181
O 0.4904 0.2916 0.0181
O 0.5096 0.7084 0.9819
O 0.5096 0.7916 0.4819
O 0.5586 0.1697 0.2606
O 0.5586 0.3303 0.7606
O 0.7045 0.5676 0.4391
O 0.7045 0.9324 0.9391
O 0.8418 0.0595 0.5526
O 0.8418 0.4405 0.0526
O 0.8824 0.7130 0.8142
O 0.8824 0.7870 0.3142
O 0.9130 0.2057 0.7887
O 0.9130 0.2943 0.2887

Top 10 peaks for 2θ = 10–90°, sorted by position:
| two_theta | intensity |
| --- | --- |
| 11.21 | 19 |
| 17.67 | 100 |
| 19.69 | 29 |
| 22.24 | 17 |
| 22.68 | 55 |
| 32.87 | 17 |
| 35.81 | 24 |
| 35.94 | 25 |
| 36.48 | 23 |
| 38.91 | 19 |

For Li2SnBO4, a DFT-relaxed cell (GGA-PBE, the Materials Project) gives the theoretical powder diffractogram in this record (a wavelength of 1.5418 Å).

Structural model:
a = 7.4874 Å, b = 5.1202 Å, c = 10.2710 Å
α = 90.00°, β = 98.34°, γ = 90.00°
Atoms (fractional coordinates):
Li 0.0929 0.1557 0.2958
Li 0.0929 0.3443 0.7958
Li 0.1944 0.1727 0.5762
Li 0.1944 0.3273 0.0762
Li 0.8056 0.6727 0.9238
Li 0.8056 0.8273 0.4238
Li 0.9071 0.6557 0.2042
Li 0.9071 0.8443 0.7042
Sn 0.4965 0.1204 0.8772
Sn 0.4965 0.3796 0.3772
Sn 0.5035 0.6204 0.6228
Sn 0.5035 0.8796 0.1228
B 0.1636 0.6860 0.4377
B 0.1636 0.8140 0.9377
B 0.8364 0.1860 0.0623
B 0.8364 0.3140 0.5623
O 0.0343 0.6824 0.8586
O 0.0343 0.8176 0.3586
O 0.1992 0.0806 0.9210
O 0.1992 0.4194 0.4210
O 0.2727 0.6756 0.0406
O 0.2727 0.8244 0.5406
O 0.3812 0.1542 0.2279
O 0.3812 0.3458 0.7279
O 0.6188 0.6542 0.2721
O 0.6188 0.8458 0.7721
O 0.7273 0.1756 0.4594
O 0.7273 0.3244 0.9594
O 0.8008 0.5806 0.5790
O 0.8008 0.9194 0.0790
O 0.9657 0.1824 0.6414
O 0.9657 0.3176 0.1414

Top 10 peaks for 2θ = 10–90°, sorted by position:
| two_theta | intensity |
| --- | --- |
| 11.95 | 100 |
| 19.41 | 30 |
| 22.17 | 22 |
| 23.52 | 15 |
| 24.03 | 21 |
| 24.68 | 19 |
| 26.35 | 47 |
| 28.62 | 15 |
| 32.83 | 11 |
| 35.34 | 27 |

For SrLiB9O15, a DFT-relaxed cell (GGA-PBE, the Materials Project) gives the theoretical powder diffractogram in this record (a wavelength of 1.5418 Å).

Structural model:
a = 8.6118 Å, b = 8.6118 Å, c = 8.6118 Å
α = 77.83°, β = 77.83°, γ = 77.83°
Atoms (fractional coordinates):
Sr 0.0000 0.0000 0.0000
Sr 0.5000 0.5000 0.5000
Li 0.2409 0.2409 0.2409
Li 0.7409 0.7409 0.7409
B 0.1117 0.7767 0.6329
B 0.1329 0.2767 0.6117
B 0.2191 0.7831 0.3415
B 0.2767 0.6117 0.1329
B 0.2831 0.7191 0.8415
B 0.2884 0.4306 0.9476
B 0.3415 0.2191 0.7831
B 0.4306 0.9476 0.2884
B 0.4476 0.9306 0.7884
B 0.6117 0.1329 0.2767
B 0.6329 0.1117 0.7767
B 0.7191 0.8415 0.2831
B 0.7767 0.6329 0.1117
B 0.7831 0.3415 0.2191
B 0.7884 0.4476 0.9306
B 0.8415 0.2831 0.7191
B 0.9306 0.7884 0.4476
B 0.9476 0.2884 0.4306
O 0.0129 0.2430 0.7389
O 0.0503 0.8153 0.3191
O 0.1062 0.2828 0.4547
O 0.1331 0.8031 0.7769
O 0.2389 0.7430 0.5129
O 0.2430 0.7389 0.0129
O 0.2675 0.2826 0.9333
O 0.2769 0.3031 0.6331
O 0.2828 0.4547 0.1062
O 0.2826 0.9333 0.2675
O 0.3031 0.6331 0.2769
O 0.3153 0.5503 0.8191
O 0.3191 0.0503 0.8153
O 0.4333 0.7826 0.7675
O 0.4547 0.1062 0.2828
O 0.5129 0.2389 0.7430
O 0.5503 0.8191 0.3153
O 0.6062 0.9547 0.7828
O 0.6331 0.2769 0.3031
O 0.7389 0.0129 0.2430
O 0.7430 0.5129 0.2389
O 0.7675 0.4333 0.7826
O 0.7769 0.1331 0.8031
O 0.7828 0.6062 0.9547
O 0.7826 0.7675 0.4333
O 0.8031 0.7769 0.1331
O 0.8153 0.3191 0.0503
O 0.8191 0.3153 0.5503
O 0.9333 0.2675 0.2826
O 0.9547 0.7828 0.6062

Top 10 peaks for 2θ = 10–90°, sorted by position:
| two_theta | intensity |
| --- | --- |
| 13.73 | 92 |
| 22.13 | 39 |
| 22.25 | 53 |
| 27.10 | 100 |
| 32.32 | 31 |
| 39.79 | 25 |
| 40.19 | 19 |
| 42.02 | 21 |
| 43.68 | 23 |
| 44.30 | 25 |

For SrLiY2B3O9, a DFT-relaxed cell (GGA-PBE, the Materials Project) gives the theoretical powder diffractogram in this record (a wavelength of 1.5418 Å).

Structural model:
a = 10.4328 Å, b = 10.4328 Å, c = 6.4416 Å
α = 90.00°, β = 90.00°, γ = 120.00°
Atoms (fractional coordinates):
Sr 0.0000 0.4966 0.0000
Sr 0.4966 0.0000 0.0000
Sr 0.5034 0.5034 0.0000
Li 0.0000 0.4971 0.5000
Li 0.4971 0.0000 0.5000
Li 0.5029 0.5029 0.5000
Y 0.1722 0.8168 0.3627
Y 0.1832 0.3553 0.3627
Y 0.3553 0.1832 0.6373
Y 0.6447 0.8278 0.3627
Y 0.8168 0.1722 0.6373
Y 0.8278 0.6447 0.6373
B 0.0000 0.0000 0.5000
B 0.1875 0.8086 0.8047
B 0.1914 0.3789 0.8047
B 0.3333 0.6667 0.3353
B 0.3789 0.1914 0.1953
B 0.6211 0.8125 0.8047
B 0.6667 0.3333 0.6647
B 0.8086 0.1875 0.1953
B 0.8125 0.6211 0.1953
O 0.0000 0.8682 0.5000
O 0.0712 0.3619 0.6865
O 0.0772 0.6871 0.6963
O 0.1318 0.1318 0.5000
O 0.1808 0.5913 0.3371
O 0.1949 0.3937 0.0156
O 0.1988 0.8051 0.0156
O 0.2907 0.9288 0.6865
O 0.3129 0.3901 0.6963
O 0.3619 0.0712 0.3135
O 0.3901 0.3129 0.3037
O 0.3937 0.1949 0.9844
O 0.4087 0.5896 0.3371
O 0.4104 0.8192 0.3371
O 0.5896 0.4087 0.6629
O 0.5913 0.1808 0.6629
O 0.6063 0.8012 0.0156
O 0.6099 0.9228 0.6963
O 0.6381 0.7093 0.6865
O 0.6871 0.0772 0.3037
O 0.7093 0.6381 0.3135
O 0.8012 0.6063 0.9844
O 0.8051 0.1988 0.9844
O 0.8192 0.4104 0.6629
O 0.8682 0.0000 0.5000
O 0.9228 0.6099 0.3037
O 0.9288 0.2907 0.3135

Top 10 peaks for 2θ = 10–90°, sorted by position:
| two_theta | intensity |
| --- | --- |
| 16.95 | 100 |
| 24.06 | 77 |
| 29.63 | 24 |
| 34.19 | 47 |
| 34.38 | 64 |
| 42.08 | 18 |
| 42.41 | 46 |
| 49.27 | 31 |
| 55.43 | 21 |
| 55.69 | 19 |